Rb6Au3S: theoretical XRD peak list (Cu Kα, 1.54184 Å), based on DFT lattice parameters and positions (GGA-PBE).
Peak positions follow from Bragg's law for the DFT cell and can differ from measured ones.

Structural model:
```
data_Rb6Au3S
_chemical_formula_sum 'Rb12 Au6 S2'
_symmetry_space_group_name_H-M 'P n n m'
_symmetry_Int_Tables_number 58
_symmetry_space_group_name_Hall '-P 2 2n'
_cell_length_a 9.9874
_cell_length_b 14.0337
_cell_length_c 5.8996
_cell_angle_alpha 90.00
_cell_angle_beta 90.00
_cell_angle_gamma 90.00
loop_
_atom_site_label
_atom_site_type_symbol
_atom_site_fract_x
_atom_site_fract_y
_atom_site_fract_z
Rb1 Rb 0.0168 0.2386 0.0000
Rb2 Rb 0.1522 0.0820 0.5000
Rb3 Rb 0.1805 0.4391 0.5000
Au1 Au 0.0000 0.5000 0.0000
Au2 Au 0.1343 0.6998 0.5000
S1 S 0.0000 0.0000 0.0000
```

The 10 most intense peaks (2θ = 10–90°), in order of falling intensity:
| d/Å | intensity | (hkl) |
| --- | --- | --- |
| 2.899 | 100 | 3 0 1 |
| 2.950 | 70 | 0 0 2 |
| 3.441 | 64 | 1 3 1 |
| 3.670 | 48 | 0 3 1 |
| 8.137 | 41 | 1 1 0 |
| 2.233 | 35 | 2 3 2 |
| 3.414 | 31 | 2 3 0 |
| 1.994 | 26 | 1 5 2 |
| 1.693 | 25 | 3 0 3 |
| 2.887 | 23 | 1 4 1 |